The following is a calculated PXRD pattern of TaFeO4. It was derived from a GGA+U-relaxed structure, using Cu Kα (weighted mean of Kα1 and Kα2).

Structural model:
```
data_TaFeO4
_cell_length_a 4.6856
_cell_length_b 5.6997
_cell_length_c 5.0698
_cell_angle_alpha 90.00
_cell_angle_beta 90.08
_cell_angle_gamma 90.00
_space_group_name_H-M_alt 'P 1'
_space_group_IT_number 1
loop_
_space_group_symop_operation_xyz
'x,y,z'
loop_
_atom_site_label
_atom_site_type_symbol
_atom_site_fract_x
_atom_site_fract_y
_atom_site_fract_z
_atom_site_occupancy
Ta1 Ta 0.0000 0.1748 0.2500 1
Ta2 Ta 0.0000 0.8252 0.7500 1
Fe1 Fe 0.5000 0.3389 0.7500 1
Fe2 Fe 0.5000 0.6611 0.2500 1
O1 O 0.2239 0.1146 0.5780 1
O2 O 0.2239 0.8854 0.0780 1
O3 O 0.2688 0.3818 0.0854 1
O4 O 0.2688 0.6182 0.5854 1
O5 O 0.7312 0.3818 0.4146 1
O6 O 0.7312 0.6182 0.9146 1
O7 O 0.7761 0.1146 0.9220 1
O8 O 0.7761 0.8854 0.4220 1
```

Peak list (6 most intense, 2θ = 15–90°, by angle)
2θ/deg	d/Å	I (rel.)
18.94	4.686	260
23.48	3.788	262
24.60	3.620	291
30.34	2.946	1000
53.78	1.704	234
64.46	1.446	209